Entry 1:
NaTi5N5Cl5: calculated PXRD pattern (Cu Kα (weighted mean of Kα1 and Kα2)), based on the PBE geometry in the Materials Project.
No peak broadening, texture or thermal motion is included.

Structural model:
```
NaTi5N5Cl5
1.0
5.2179 0.0000 0.0000
0.5176 9.4563 0.0000
0.5292 4.2727 11.6868
Na Ti N Cl
2 10 10 10
Cartesian
0.2614 3.2691 2.8490 Na
6.0034 10.4599 8.8378 Na
0.7826 5.7382 6.7494 Ti
1.3117 5.9104 9.6344 Ti
2.3529 13.1070 11.4416 Ti
2.3471 9.0285 2.6326 Ti
2.8746 6.7710 4.4095 Ti
3.3902 6.9581 7.2773 Ti
3.9176 4.7005 9.0542 Ti
3.9119 0.6220 0.2453 Ti
4.9530 7.8187 2.0524 Ti
5.4822 7.9908 4.9375 Ti
0.7816 9.3514 1.3489 N
1.3055 7.4986 3.3229 N
1.8268 7.2715 6.0256 N
2.3504 5.4264 8.0071 N
2.8752 5.1793 10.6916 N
3.3895 8.5498 0.9952 N
3.9144 8.3027 3.6797 N
4.4379 6.4575 5.6612 N
4.9592 6.2304 8.3639 N
5.4831 4.3777 10.3379 N
0.7746 6.5800 0.0961 Cl
1.2972 10.2814 4.5350 Cl
1.8614 4.4837 4.8189 Cl
2.3852 8.1863 9.2606 Cl
3.3935 11.8375 9.4503 Cl
2.8712 1.8916 2.2366 Cl
3.8796 5.5428 2.4263 Cl
4.4034 9.2453 6.8679 Cl
4.9675 3.4476 7.1519 Cl
5.4902 7.1491 11.5907 Cl
```

Largest 12 diffraction maxima, sorted by position, 15° ≤ 2θ ≤ 90°:
| 2θ/deg | Rel. int. | h k l |
| --- | --- | --- |
| 22.58 | 75 | 1 0 2 |
| 26.93 | 67 | 1 1 3 |
| 31.04 | 20 | 0 3 3 |
| 34.19 | 96 | 1 3 0 |
| 38.53 | 100 | 2 2 1 |
| 41.61 | 74 | 1 4 1 |
| 42.91 | 28 | 1 3 5 |
| 44.82 | 46 | 2 -1 3 |
| 51.45 | 20 | 2 4 3 |
| 55.72 | 22 | 2 2 -4 |
| 57.56 | 34 | 3 2 3 |
| 62.81 | 37 | 3 3 4 |

***

Entry 2:
ZnGa4S7: calculated PXRD pattern (Cu Kα (weighted mean of Kα1 and Kα2)), based on the PBE geometry in the Materials Project.
No peak broadening, texture or thermal motion is included.

Structural model:
```
ZnGa4S7
1.0
15.3886 0.0000 0.0000
0.0000 6.5220 0.0000
0.0000 0.0000 6.1496
Zn Ga S
2 8 14
Cartesian
0.0000 1.0814 0.0000 Zn
7.6943 5.4406 3.0748 Zn
1.9509 2.3459 4.1648 Ga
3.7399 5.4455 4.1583 Ga
3.9545 1.0765 1.0834 Ga
5.7434 4.1761 1.0900 Ga
9.6452 4.1761 1.0900 Ga
11.4342 1.0765 1.0834 Ga
11.6488 5.4455 4.1583 Ga
13.4377 2.3459 4.1648 Ga
0.0000 1.1024 3.7658 S
1.8807 4.4474 3.4357 S
2.0006 2.1052 0.3732 S
3.8305 1.1317 3.4350 S
3.8638 5.3902 0.3601 S
5.6937 4.4168 3.4480 S
5.8137 2.0746 0.3609 S
7.6943 5.4195 0.6910 S
9.5750 2.0746 0.3609 S
9.6949 4.4168 3.4480 S
11.5248 5.3902 0.3601 S
11.5582 1.1317 3.4350 S
13.3880 2.1052 0.3732 S
13.5080 4.4474 3.4357 S
```

Largest 12 diffraction maxima, sorted by position, 15° ≤ 2θ ≤ 90°:
| 2θ/deg | Rel. int. | h k l |
| --- | --- | --- |
| 15.52 | 58 | 1 0 1 |
| 22.57 | 27 | 3 0 1 |
| 22.99 | 41 | 2 1 1 |
| 26.91 | 100 | 4 1 0 |
| 27.35 | 39 | 0 2 0 |
| 29.04 | 71 | 0 0 2 |
| 32.54 | 36 | 3 2 0 |
| 40.00 | 30 | 4 1 2 |
| 47.25 | 36 | 8 0 0 |
| 48.05 | 86 | 4 3 0 |
| 52.49 | 32 | 4 1 3 |
| 57.15 | 34 | 4 3 2 |

***

Entry 3:
GdScS3: calculated PXRD pattern (Cu Kα (weighted mean of Kα1 and Kα2)), based on the PBE geometry in the Materials Project.
No peak broadening, texture or thermal motion is included.

Structural model:
```
GdScS3
1.0
7.0733 0.0000 0.0000
0.0000 9.5533 0.0000
0.0000 0.0000 6.4299
Gd Sc S
4 4 12
Cartesian
0.7108 2.3883 0.2556 Gd
2.8258 7.1649 3.4706 Gd
4.2474 2.3883 2.9593 Gd
6.3625 7.1649 6.1743 Gd
0.0000 0.0000 3.2150 Sc
0.0000 4.7766 3.2150 Sc
3.5366 0.0000 0.0000 Sc
3.5366 4.7766 0.0000 Sc
0.3180 7.1649 2.3170 S
1.3098 5.4321 5.2940 S
1.3098 8.8978 5.2940 S
2.2269 0.6555 2.0790 S
2.2269 4.1211 2.0790 S
3.2186 2.3883 5.5320 S
3.8547 7.1649 0.8980 S
4.8464 5.4321 4.3509 S
4.8464 8.8978 4.3509 S
5.7635 0.6555 1.1359 S
5.7635 4.1211 1.1359 S
6.7552 2.3883 4.1129 S
```

Largest 12 diffraction maxima, sorted by position, 15° ≤ 2θ ≤ 90°:
| 2θ/deg | Rel. int. | h k l |
| --- | --- | --- |
| 18.61 | 54 | 0 2 0 |
| 20.86 | 64 | 1 1 1 |
| 26.44 | 100 | 1 2 1 |
| 26.88 | 29 | 2 1 0 |
| 27.75 | 21 | 0 0 2 |
| 31.98 | 33 | 1 1 2 |
| 33.87 | 40 | 1 3 1 |
| 37.66 | 26 | 0 4 0 |
| 38.02 | 31 | 2 3 0 |
| 39.02 | 39 | 2 1 2 |
| 41.90 | 48 | 3 1 1 |
| 48.29 | 32 | 1 2 3 |

***

Entry 4:
CsMg4Al9Si9O36: calculated PXRD pattern (Cu Kα (weighted mean of Kα1 and Kα2)), based on the PBE geometry in the Materials Project.
No peak broadening, texture or thermal motion is included.

Structural model:
```
CsMg4Al9Si9O36
1.0
9.5204 0.0000 0.0000
0.0038 9.8617 0.0000
0.0002 4.8929 8.5922
Cs Mg Al Si O
1 4 9 9 36
Cartesian
0.0000 0.0000 0.0000 Cs
4.6739 4.8508 2.7211 Mg
4.6747 9.8117 5.6792 Mg
9.4831 4.8475 2.7133 Mg
9.4814 9.8127 5.6791 Mg
2.3220 2.3871 2.2018 Al
2.3212 6.7124 0.8590 Al
4.6904 9.7773 8.5539 Al
4.6834 7.3481 4.2152 Al
4.7045 2.4136 4.2189 Al
7.0714 3.0561 0.8701 Al
9.4467 2.4100 4.2102 Al
9.4643 9.7765 8.5513 Al
9.4716 7.3455 4.2124 Al
2.3109 9.0702 3.1962 Si
2.3178 5.6612 5.2898 Si
2.3140 8.0386 7.5628 Si
2.3158 12.3802 6.2130 Si
7.0755 4.0693 5.3737 Si
7.0791 7.2239 6.2213 Si
7.0755 7.4230 2.2314 Si
7.0761 11.5620 7.6370 Si
7.0809 10.5531 3.1961 Si
0.8924 3.0804 2.9470 O
0.9002 5.7389 1.1219 O
0.9529 5.8986 4.3952 O
0.9651 8.9727 7.2962 O
0.9660 11.6960 5.5353 O
0.9756 8.7863 4.1659 O
2.2688 2.5646 0.4604 O
2.2685 8.0132 2.0000 O
2.2714 10.5620 2.6418 O
2.2744 12.1877 7.7931 O
2.2908 4.1431 5.8776 O
2.2910 6.7580 6.5136 O
3.6552 8.7882 4.1523 O
3.6669 8.9662 7.3044 O
3.6687 11.6953 5.5431 O
3.6795 5.9012 4.3955 O
3.7272 5.7286 1.1270 O
3.7377 3.0845 2.9566 O
5.6879 4.0711 1.1224 O
5.7272 6.7617 2.9010 O
5.7259 10.6611 7.3626 O
5.7386 3.8324 4.4702 O
5.7389 7.9090 5.5259 O
5.7404 10.8034 4.1414 O
7.1014 5.6088 5.9023 O
7.1015 7.2361 0.6001 O
7.1038 9.0207 2.5950 O
7.1027 12.8784 6.6503 O
7.1230 1.6866 1.9509 O
7.1213 7.4097 7.7978 O
8.4173 3.8300 4.4734 O
8.4163 7.9074 5.5189 O
8.4179 10.7994 4.1499 O
8.4273 6.7604 2.8983 O
8.4284 10.6623 7.3639 O
8.4715 4.0587 1.1168 O
```

Largest 12 diffraction maxima, sorted by position, 15° ≤ 2θ ≤ 90°:
| 2θ/deg | Rel. int. | h k l |
| --- | --- | --- |
| 20.21 | 14 | -1 1 2 |
| 22.73 | 10 | 1 2 0 |
| 25.98 | 100 | 2 1 -1 |
| 28.00 | 66 | 2 2 0 |
| 28.08 | 37 | -2 2 2 |
| 29.07 | 45 | 1 1 3 |
| 29.20 | 45 | 1 3 2 |
| 37.79 | 16 | 4 0 0 |
| 41.19 | 9 | -2 2 4 |
| 49.90 | 9 | 4 3 0 |
| 53.33 | 12 | 4 2 -2 |
| 53.48 | 23 | 4 4 2 |

***

Entry 5:
Sc4Te3N2: calculated PXRD pattern (Cu Kα (weighted mean of Kα1 and Kα2)), based on the PBE geometry in the Materials Project.
No peak broadening, texture or thermal motion is included.

Structural model:
```
Sc4Te3N2
1.0
6.8591 0.0000 0.0000
0.0000 11.2711 0.0000
0.0000 0.0000 10.6499
Sc Te N
16 12 8
Cartesian
0.5389 2.8178 1.3340 Sc
1.1950 8.4533 1.1616 Sc
1.3144 0.2136 9.9196 Sc
1.3144 5.4219 9.9196 Sc
2.1152 5.8491 4.5947 Sc
2.1152 11.0575 4.5947 Sc
2.2345 2.8178 6.4866 Sc
2.8906 8.4533 6.6590 Sc
3.9684 2.8178 3.9909 Sc
4.6246 8.4533 4.1633 Sc
4.7439 0.2136 6.0552 Sc
4.7439 5.4219 6.0552 Sc
5.5447 5.8491 0.7303 Sc
5.5447 11.0575 0.7303 Sc
5.6641 2.8178 9.4883 Sc
6.3202 8.4533 9.3159 Sc
0.6099 6.4241 7.1971 Te
0.6099 10.4825 7.1971 Te
0.7159 8.4533 3.9803 Te
2.7137 2.8178 9.3052 Te
2.8197 0.7885 1.8722 Te
2.8197 4.8470 1.8722 Te
4.0394 6.4241 8.7778 Te
4.0394 10.4825 8.7778 Te
4.1454 8.4533 1.3447 Te
6.1432 2.8178 6.6697 Te
6.2492 0.7885 3.4528 Te
6.2492 4.8470 3.4528 Te
0.2862 7.0409 0.0274 N
0.2862 9.8657 0.0274 N
3.1434 1.4054 5.3523 N
3.1434 4.2302 5.3523 N
3.7157 7.0409 5.2976 N
3.7157 9.8657 5.2976 N
6.5729 1.4054 10.6226 N
6.5729 4.2302 10.6226 N
```

Largest 12 diffraction maxima, sorted by position, 15° ≤ 2θ ≤ 90°:
| 2θ/deg | Rel. int. | h k l |
| --- | --- | --- |
| 17.27 | 20 | 1 1 1 |
| 25.13 | 79 | 0 3 1 |
| 27.18 | 37 | 2 1 0 |
| 28.31 | 57 | 1 0 3 |
| 31.69 | 100 | 2 2 1 |
| 31.94 | 87 | 1 3 2 |
| 33.66 | 16 | 0 0 4 |
| 39.68 | 18 | 1 2 4 |
| 39.90 | 17 | 2 2 3 |
| 43.73 | 24 | 1 3 4 |
| 46.11 | 20 | 3 2 2 |
| 48.01 | 18 | 3 1 3 |

***

Entry 6:
ThSi2Ni2: calculated PXRD pattern (Cu Kα (weighted mean of Kα1 and Kα2)), based on the PBE geometry in the Materials Project.
No peak broadening, texture or thermal motion is included.

Structural model:
```
ThSi2Ni2
1.0
4.0681 0.0000 0.0000
0.0000 4.0681 0.0000
0.0000 0.0000 9.5508
Th Si Ni
2 4 4
Cartesian
0.0000 0.0000 0.0000 Th
2.0341 2.0341 4.7754 Th
0.0000 0.0000 3.5426 Si
0.0000 0.0000 6.0082 Si
2.0341 2.0341 1.2328 Si
2.0341 2.0341 8.3180 Si
0.0000 2.0341 2.3877 Ni
0.0000 2.0341 7.1631 Ni
2.0341 0.0000 2.3877 Ni
2.0341 0.0000 7.1631 Ni
```

Largest 12 diffraction maxima, sorted by position, 15° ≤ 2θ ≤ 90°:
| 2θ/deg | Rel. int. | h k l |
| --- | --- | --- |
| 23.77 | 79 | 1 0 1 |
| 35.82 | 61 | 1 0 3 |
| 36.46 | 100 | 1 1 2 |
| 37.67 | 16 | 0 0 4 |
| 44.54 | 39 | 2 0 0 |
| 51.11 | 22 | 2 1 1 |
| 52.96 | 19 | 1 0 5 |
| 58.43 | 30 | 2 1 3 |
| 59.72 | 17 | 2 0 4 |
| 67.22 | 18 | 1 1 6 |
| 71.63 | 16 | 2 1 5 |
| 76.72 | 22 | 3 1 2 |

***

Entry 7:
MnN2Cl4: calculated PXRD pattern (Cu Kα (weighted mean of Kα1 and Kα2)), based on the PBE geometry in the Materials Project.
No peak broadening, texture or thermal motion is included.

Structural model:
```
MnN2Cl4
1.0
4.7755 0.0000 0.0000
0.0000 4.7755 0.0000
0.0000 0.0000 15.2186
Mn N Cl
2 4 8
Cartesian
0.0000 0.0000 0.0000 Mn
2.3878 2.3878 7.6093 Mn
0.0000 0.0000 5.3645 N
0.0000 0.0000 9.8541 N
2.3878 2.3878 2.2448 N
2.3878 2.3878 12.9739 N
0.0000 0.0000 2.1997 Cl
0.0000 0.0000 13.0189 Cl
0.0000 2.3878 0.0000 Cl
0.0000 2.3878 7.6093 Cl
2.3878 0.0000 0.0000 Cl
2.3878 0.0000 7.6093 Cl
2.3878 2.3878 5.4096 Cl
2.3878 2.3878 9.8090 Cl
```

Largest 12 diffraction maxima, sorted by position, 15° ≤ 2θ ≤ 90°:
| 2θ/deg | Rel. int. | h k l |
| --- | --- | --- |
| 19.48 | 100 | 1 0 1 |
| 26.39 | 24 | 1 1 0 |
| 35.39 | 28 | 0 0 6 |
| 35.55 | 29 | 1 1 4 |
| 37.67 | 61 | 2 0 0 |
| 39.56 | 22 | 2 0 2 |
| 42.75 | 23 | 2 1 1 |
| 45.86 | 14 | 1 0 7 |
| 52.64 | 30 | 2 0 6 |
| 54.34 | 18 | 2 2 0 |
| 62.42 | 14 | 2 0 8 |
| 66.56 | 20 | 2 2 6 |

***

Entry 8:
RbLiSO4: calculated PXRD pattern (Cu Kα (weighted mean of Kα1 and Kα2)), based on the PBE geometry in the Materials Project.
No peak broadening, texture or thermal motion is included.

Structural model:
```
RbLiSO4
1.0
5.3673 0.0000 0.0000
0.0000 8.8941 0.0000
-5.3691 0.0000 9.2691
Rb Li S O
4 4 4 16
Cartesian
-1.4297 0.0390 2.5547 Rb
-4.1142 4.4080 7.1892 Rb
4.1125 4.4861 2.0798 Rb
1.4280 8.8551 6.7144 Rb
-1.3802 6.0353 5.4715 Li
1.3043 7.3058 0.8370 Li
-1.3061 1.5883 8.4321 Li
1.3785 2.8588 3.7976 Li
1.3651 1.8360 0.7163 S
-1.3195 2.6111 5.3509 S
1.3177 6.2830 3.9182 S
-1.3668 7.0581 8.5527 S
-2.6973 2.0871 5.0928 O
-0.0127 2.3600 0.4582 O
1.3169 0.3595 0.8689 O
-1.3677 4.0876 5.5034 O
-3.1234 2.2021 8.8322 O
-0.4388 2.2449 4.1976 O
-1.9174 6.4523 7.3073 O
0.7671 6.8889 2.6728 O
-0.7689 2.0053 6.5963 O
1.9157 2.4418 1.9617 O
0.4371 6.6492 5.0714 O
3.1216 6.6920 0.4369 O
1.3659 4.8065 3.7656 O
-1.3186 8.5347 8.4002 O
0.0110 6.5341 8.8108 O
2.6955 6.8071 4.1763 O
```

Largest 12 diffraction maxima, sorted by position, 15° ≤ 2θ ≤ 90°:
| 2θ/deg | Rel. int. | h k l |
| --- | --- | --- |
| 19.12 | 21 | 1 0 0 |
| 21.59 | 28 | 1 1 -2 |
| 27.33 | 17 | 1 1 -3 |
| 27.78 | 100 | 0 2 2 |
| 33.44 | 38 | 2 0 -2 |
| 38.80 | 10 | 2 0 0 |
| 39.25 | 23 | 2 2 -2 |
| 40.57 | 13 | 0 4 0 |
| 44.00 | 11 | 2 2 0 |
| 45.22 | 10 | 1 4 0 |
| 53.55 | 10 | 2 4 -2 |
| 56.34 | 11 | 3 2 -2 |